Y4Bi2B: calculated X-ray diffraction stick pattern (Cu Kα, 1.54184 Å), based on a crystal structure in Alexandria, relaxed with PBE.

Principal peaks in the range 15 to 90 degrees two-theta, by angle:
19.21°, I = 33
23.97°, I = 22
26.33°, I = 45
28.24°, I = 64
30.38°, I = 39
33.36°, I = 100
37.58°, I = 63
40.43°, I = 24
49.07°, I = 41
65.15°, I = 29

Structural model:
```
data_Y4Bi2B
_cell_length_a 4.787
_cell_length_b 4.787
_cell_length_c 17.651
_cell_angle_alpha 90.00
_cell_angle_beta 90.00
_cell_angle_gamma 90.00
_symmetry_space_group_name_H-M 'I 4/m m m'
_symmetry_Int_Tables_number 139
_symmetry_space_group_name_Hall '-I 4 2'
loop_
_atom_site_label
_atom_site_type_symbol
_atom_site_fract_x
_atom_site_fract_y
_atom_site_fract_z
Y1 Y 0.000 0.000 0.173
Y2 Y 0.000 0.500 0.000
Bi1 Bi 0.000 0.000 0.354
B1 B 0.000 0.000 0.500
```

---

Ca3BCBr2N: calculated X-ray diffraction stick pattern (Cu Kα, 1.54184 Å), based on a crystal structure in Alexandria, relaxed with PBE.

Principal peaks in the range 15 to 90 degrees two-theta, by angle:
28.31°, I = 47
29.77°, I = 34
30.25°, I = 83
31.42°, I = 40
33.24°, I = 100
33.44°, I = 36
33.76°, I = 41
33.96°, I = 23
46.35°, I = 32
46.54°, I = 30

Structural model:
```
data_Ca3BCBr2N
_cell_length_a 14.691
_cell_length_b 3.918
_cell_length_c 11.391
_cell_angle_alpha 90.00
_cell_angle_beta 90.00
_cell_angle_gamma 90.00
_symmetry_space_group_name_H-M 'P n m a'
_symmetry_Int_Tables_number 62
loop_
_symmetry_equiv_pos_as_xyz
'x,y,z'
'-x,-y,-z'
'-x+1/2,-y,z+1/2'
'x+1/2,y,-z+1/2'
'x+1/2,-y+1/2,-z+1/2'
'-x+1/2,y+1/2,z+1/2'
'-x,y+1/2,-z'
'x,-y+1/2,z'
loop_
_atom_site_label
_atom_site_type_symbol
_atom_site_fract_x
_atom_site_fract_y
_atom_site_fract_z
Ca1 Ca 0.105 0.250 0.146
Ca2 Ca 0.144 0.750 0.431
Ca3 Ca 0.195 0.750 0.798
B1 B 0.242 0.750 0.097
C1 C 0.205 0.750 0.216
Br1 Br 0.011 0.750 0.638
Br2 Br 0.061 0.250 0.896
N1 N 0.228 0.250 0.484
```

---

Ce6B2C3Br3: calculated X-ray diffraction stick pattern (Cu Kα, 1.54184 Å), based on a crystal structure in Alexandria, relaxed with PBE.

Principal peaks in the range 15 to 90 degrees two-theta, by angle:
26.09°, I = 36
28.89°, I = 89
31.07°, I = 30
32.01°, I = 100
33.44°, I = 50
34.31°, I = 34
34.50°, I = 44
36.01°, I = 55
43.54°, I = 35
51.07°, I = 31

Structural model:
```
data_Ce6B2C3Br3
_cell_length_a 8.625
_cell_length_b 3.673
_cell_length_c 10.197
_cell_angle_alpha 90.00
_cell_angle_beta 114.61
_cell_angle_gamma 90.00
_symmetry_space_group_name_H-M 'P 1 2/m 1'
_symmetry_Int_Tables_number 10
loop_
_symmetry_equiv_pos_as_xyz
'x,y,z'
'-x,-y,-z'
'-x,y,-z'
'x,-y,z'
loop_
_atom_site_label
_atom_site_type_symbol
_atom_site_fract_x
_atom_site_fract_y
_atom_site_fract_z
Ce1 Ce 0.060 0.000 0.344
Ce2 Ce 0.289 0.500 0.984
Ce3 Ce 0.368 0.000 0.720
B1 B 0.101 0.500 0.565
C1 C 0.165 0.500 0.730
C2 C 0.500 0.000 0.000
Br1 Br 0.000 0.000 0.000
Br2 Br 0.353 0.500 0.314
```

---

CdGe2BBr: calculated X-ray diffraction stick pattern (Cu Kα, 1.54184 Å), based on a crystal structure in Alexandria, relaxed with PBE.

Principal peaks in the range 15 to 90 degrees two-theta, by angle:
21.13°, I = 16
27.14°, I = 100
32.11°, I = 67
34.06°, I = 98
43.02°, I = 25
44.09°, I = 53
48.94°, I = 34
55.98°, I = 45
59.75°, I = 21
67.17°, I = 26

Structural model:
```
data_CdGe2BBr
_cell_length_a 5.264
_cell_length_b 5.264
_cell_length_c 4.205
_cell_angle_alpha 90.00
_cell_angle_beta 90.00
_cell_angle_gamma 90.00
_symmetry_space_group_name_H-M 'P 4/m m m'
_symmetry_Int_Tables_number 123
_symmetry_space_group_name_Hall '-P 4 2'
loop_
_atom_site_label
_atom_site_type_symbol
_atom_site_fract_x
_atom_site_fract_y
_atom_site_fract_z
Cd1 Cd 0.000 0.000 0.000
Ge1 Ge 0.000 0.500 0.500
B1 B 0.500 0.500 0.000
Br1 Br 0.500 0.500 0.500
```

---

BPBr2NCl3: calculated X-ray diffraction stick pattern (Cu Kα, 1.54184 Å), based on a crystal structure in Alexandria, relaxed with PBE.

Principal peaks in the range 15 to 90 degrees two-theta, by angle:
21.14°, I = 85
22.31°, I = 68
26.86°, I = 87
29.85°, I = 100
30.79°, I = 36
32.59°, I = 41
32.72°, I = 55
39.50°, I = 25
52.00°, I = 24
52.13°, I = 27

Structural model:
```
data_BPBr2NCl3
_cell_length_a 13.683
_cell_length_b 12.828
_cell_length_c 10.651
_cell_angle_alpha 90.00
_cell_angle_beta 90.00
_cell_angle_gamma 90.00
_symmetry_space_group_name_H-M 'C m c e'
_symmetry_Int_Tables_number 64
_symmetry_space_group_name_Hall '-C 2ac 2'
loop_
_atom_site_label
_atom_site_type_symbol
_atom_site_fract_x
_atom_site_fract_y
_atom_site_fract_z
B1 B 0.080 0.000 0.000
P1 P 0.000 0.004 0.250
Br1 Br 0.166 0.129 0.015
N1 N 0.000 0.008 0.897
Cl1 Cl 0.000 0.150 0.316
Cl2 Cl 0.117 0.061 0.675
```

---

Pr4BBrCl2: calculated X-ray diffraction stick pattern (Cu Kα, 1.54184 Å), based on a crystal structure in Alexandria, relaxed with PBE.

Principal peaks in the range 15 to 90 degrees two-theta, by angle:
24.75°, I = 17
26.28°, I = 20
26.51°, I = 43
29.95°, I = 46
30.22°, I = 100
32.71°, I = 21
42.10°, I = 26
44.03°, I = 32
44.51°, I = 19
54.58°, I = 16

Structural model:
```
data_Pr4BBrCl2
_cell_length_a 7.150
_cell_length_b 4.071
_cell_length_c 7.583
_cell_angle_alpha 90.00
_cell_angle_beta 108.44
_cell_angle_gamma 90.00
_symmetry_space_group_name_H-M 'P 1 2/m 1'
_symmetry_Int_Tables_number 10
loop_
_symmetry_equiv_pos_as_xyz
'x,y,z'
'-x,-y,-z'
'-x,y,-z'
'x,-y,z'
loop_
_atom_site_label
_atom_site_type_symbol
_atom_site_fract_x
_atom_site_fract_y
_atom_site_fract_z
Pr1 Pr 0.213 0.000 0.202
Pr2 Pr 0.232 0.500 0.793
B1 B 0.000 0.500 0.000
Br1 Br 0.000 0.000 0.500
Cl1 Cl 0.500 0.000 0.000
Cl2 Cl 0.500 0.500 0.500
```

---

CoB2Br: calculated X-ray diffraction stick pattern (Cu Kα, 1.54184 Å), based on a crystal structure in Alexandria, relaxed with PBE.

Principal peaks in the range 15 to 90 degrees two-theta, by angle:
31.52°, I = 100
34.79°, I = 15
37.41°, I = 27
52.01°, I = 26
53.94°, I = 11
60.33°, I = 14
63.82°, I = 24
65.80°, I = 10
85.20°, I = 11
88.29°, I = 5

Structural model:
```
data_CoB2Br
_cell_length_a 4.808
_cell_length_b 4.808
_cell_length_c 10.315
_cell_angle_alpha 90.00
_cell_angle_beta 90.00
_cell_angle_gamma 90.00
_symmetry_space_group_name_H-M 'I -4 2 d'
_symmetry_Int_Tables_number 122
_symmetry_space_group_name_Hall 'I -4 2bw'
loop_
_atom_site_label
_atom_site_type_symbol
_atom_site_fract_x
_atom_site_fract_y
_atom_site_fract_z
Co1 Co 0.000 0.000 0.000
B1 B 0.142 0.250 0.125
Br1 Br 0.000 0.000 0.500
```